Entry 1:
Computed powder X-ray diffraction pattern
Compound: CaAcAg2Se4
Radiation: Cu Kα X-rays
Structure: a structure optimized by DFT (PBE)
Intensities are scaled so that the largest is 100.

```
CaAcAg2Se4
1.0
-3.6889 3.6896 4.0053
3.6889 -3.6896 4.0053
3.6889 3.6896 -4.0053
Ca Ac Ag Se
1 1 2 4
Cartesian
0.0000 0.0000 0.0000
0.0000 0.0000 4.0053
3.6889 0.0000 1.9972
0.0000 3.6896 2.0081
5.3289 2.0485 -2.1726
-1.6401 1.6411 1.8327
2.0488 2.0485 2.1726
1.6401 1.6411 6.1780
```

Top 8 peaks for 2θ = 10–80°, in order of rising 2θ:
16.3 deg, I = 42
28.1 deg, I = 100
29.3 deg, I = 34
33.0 deg, I = 29
34.4 deg, I = 74
45.0 deg, I = 63
49.4 deg, I = 24
58.1 deg, I = 29

---

Entry 2:
Computed powder X-ray diffraction pattern
Compound: Ac2CdAg4
Radiation: Cu Kα X-rays
Structure: a structure optimized by DFT (PBE)
Intensities are scaled so that the largest is 100.

```
Ac2CdAg4
1.0
5.6257 0.0000 0.0000
0.0000 4.2674 0.0000
-0.3572 0.0000 7.9787
Ac Cd Ag
2 1 4
Cartesian
1.2374 0.0000 2.5712
4.0311 0.0000 5.4075
0.0000 2.1337 0.0000
1.1434 2.1337 5.0943
1.3112 0.0000 7.1105
3.9573 0.0000 0.8683
4.1251 2.1337 2.8844
```

Top 8 peaks for 2θ = 10–80°, in order of rising 2θ:
28.8 deg, I = 64
31.8 deg, I = 39
34.2 deg, I = 100
35.1 deg, I = 45
38.4 deg, I = 33
42.4 deg, I = 33
53.9 deg, I = 25
55.2 deg, I = 26

---

Entry 3:
Computed powder X-ray diffraction pattern
Compound: AcCd2Ag9
Radiation: Cu Kα X-rays
Structure: a structure optimized by DFT (PBE)
Intensities are scaled so that the largest is 100.

```
AcCd2Ag9
1.0
2.8681 1.6559 8.9381
-2.8681 1.6559 8.9381
0.0000 -3.3118 8.9381
Ac Cd Ag
1 2 9
Cartesian
0.0000 0.0000 0.0000
0.0000 0.0000 3.8990
0.0000 0.0000 22.9153
-1.4603 -0.8431 11.2544
0.0000 0.0000 8.9544
0.0000 -1.6862 15.5599
-1.4603 0.8431 15.5599
0.0000 0.0000 13.4072
1.4603 -0.8431 11.2544
0.0000 1.6862 11.2544
0.0000 0.0000 17.8600
1.4603 0.8431 15.5599
```

Top 8 peaks for 2θ = 10–80°, in order of rising 2θ:
31.2 deg, I = 29
36.3 deg, I = 31
37.3 deg, I = 100
40.0 deg, I = 19
40.4 deg, I = 22
59.5 deg, I = 25
65.0 deg, I = 22
79.4 deg, I = 17

---

Entry 4:
Computed powder X-ray diffraction pattern
Compound: Ac6Cd2Ag
Radiation: Cu Kα X-rays
Structure: a structure optimized by DFT (PBE)
Intensities are scaled so that the largest is 100.

```
Ac6Cd2Ag
1.0
7.0500 0.0000 0.0000
0.0000 9.0771 0.0000
-6.4103 0.0000 10.8443
Ac Cd Ag
12 4 2
Cartesian
-0.8891 0.4644 2.5255
-4.0943 4.0742 7.9476
0.9101 6.3925 0.6891
-2.2950 7.2232 6.1112
2.5587 1.4480 0.5813
-0.6464 3.0905 6.0035
1.2861 5.9866 4.8408
-1.9190 7.6291 10.2630
2.9347 1.8539 4.7331
-0.2704 2.6847 10.1552
4.7340 5.0030 2.8967
1.5288 8.6127 8.3188
-2.4534 1.0355 7.9753
0.7517 3.5031 2.5532
-0.1120 5.5741 8.2911
3.0931 8.0416 2.8689
0.3198 0.0000 5.4221
3.5250 4.5386 0.0000
```

Top 8 peaks for 2θ = 10–80°, in order of rising 2θ:
25.0 deg, I = 51
25.6 deg, I = 52
27.1 deg, I = 61
27.2 deg, I = 63
28.8 deg, I = 100
29.0 deg, I = 45
32.2 deg, I = 53
33.1 deg, I = 47

---

Entry 5:
Computed powder X-ray diffraction pattern
Compound: Ac2Cd9Ag3
Radiation: Cu Kα X-rays
Structure: a structure optimized by DFT (PBE)
Intensities are scaled so that the largest is 100.

```
Ac2Cd9Ag3
1.0
7.3474 -4.4238 0.0000
7.3474 4.4238 0.0000
0.0000 0.0000 10.4310
Ac Cd Ag
4 18 6
Cartesian
2.3381 1.4060 2.6077
12.3567 -1.4060 7.8232
2.3381 -1.4060 7.8232
12.3567 1.4060 2.6077
4.9432 2.8308 0.8658
4.9432 2.8308 4.3497
7.3474 3.1843 2.6077
7.3474 1.4432 5.7140
7.3474 1.4432 9.9324
9.7517 2.8308 0.8658
9.7517 2.8308 4.3497
5.8291 0.3949 2.6077
5.8291 -0.3949 7.8232
8.8658 0.3949 2.6077
8.8658 -0.3949 7.8232
4.9432 -2.8308 6.0813
4.9432 -2.8308 9.5651
7.3474 -1.4432 0.4985
7.3474 -1.4432 4.7170
7.3474 -3.1843 7.8232
9.7517 -2.8308 6.0813
9.7517 -2.8308 9.5651
0.0000 0.0000 0.0000
0.0000 0.0000 5.2155
4.6608 0.0000 0.0000
4.6608 0.0000 5.2155
10.0341 0.0000 0.0000
10.0341 0.0000 5.2155
```

Top 8 peaks for 2θ = 10–80°, in order of rising 2θ:
32.8 deg, I = 61
33.2 deg, I = 95
34.4 deg, I = 21
35.5 deg, I = 100
36.5 deg, I = 18
36.7 deg, I = 33
61.8 deg, I = 18
62.6 deg, I = 17

---

Entry 6:
Computed powder X-ray diffraction pattern
Compound: Ac2Cd3Ag6
Radiation: Cu Kα X-rays
Structure: a structure optimized by DFT (PBE)
Intensities are scaled so that the largest is 100.

```
Ac2Cd3Ag6
1.0
4.7653 -6.5726 0.0000
4.7653 6.5726 0.0000
0.0000 0.0000 4.4978
Ac Cd Ag
2 3 6
Cartesian
4.7653 4.2663 0.0000
4.7653 -4.2663 0.0000
3.0146 0.0000 0.0000
4.7653 0.0000 2.2489
6.5161 0.0000 0.0000
1.3418 0.0000 2.2489
3.2016 2.2347 2.2489
6.3291 2.2347 2.2489
3.2016 -2.2347 2.2489
6.3291 -2.2347 2.2489
8.1889 0.0000 2.2489
```

Top 8 peaks for 2θ = 10–80°, in order of rising 2θ:
30.0 deg, I = 100
30.5 deg, I = 56
34.9 deg, I = 52
35.3 deg, I = 28
40.1 deg, I = 39
41.2 deg, I = 35
54.2 deg, I = 29
58.8 deg, I = 24

---

- What is the formula in the fifth record?
  Ac2Cd9Ag3